Structure and calculated X-ray powder pattern of Rb3Cd2Ga4 (a crystal structure in Alexandria, relaxed with PBE; Cu Kα (weighted mean of Kα1 and Kα2)).
Peak positions follow from Bragg's law for the DFT cell and can differ from measured ones.

Structure:
```
data_Rb3Cd2Ga4
_space_group_name_H-M_alt 'P -1'
_space_group_IT_number 2
_cell_length_a 4.8156
_cell_length_b 7.1111
_cell_length_c 9.8495
_cell_angle_alpha 71.65
_cell_angle_beta 76.03
_cell_angle_gamma 70.25
loop_
_space_group_symop_operation_xyz
'x,y,z'
'-x,-y,-z'
loop_
_atom_site_label
_atom_site_fract_x
_atom_site_fract_y
_atom_site_fract_z
Rb1 0.0000 0.0000 0.0000
Rb2 0.3752 0.8837 0.3656
Cd1 0.3253 0.5882 0.7615
Ga1 0.0879 0.4493 0.3754
Ga2 0.2577 0.4034 0.0813
```

The 10 most intense peaks (2θ from 10° to 90°), by angle:
hkl 0 1 0, 2θ 13.68, I 76; hkl 1 0 2, 2θ 25.48, I 58; hkl 0 1 -2, 2θ 26.41, I 37; hkl 0 2 1, 2θ 26.77, I 71; hkl 0 2 0, 2θ 27.57, I 37; hkl 1 2 2, 2θ 28.79, I 100; hkl 1 0 3, 2θ 32.65, I 46; hkl 2 1 1, 2θ 37.35, I 70; hkl 1 0 -3, 2θ 37.86, I 37; hkl 1 2 4, 2θ 39.92, I 37